This entry pairs a crystal structure of PuMgPdRu with its theoretical X-ray powder pattern. Radiation: Cu Kα. Structure: DFT lattice parameters and positions (GGA-PBE).
Lines closer than 0.1° are merged.

Structure:
```
data_PuMgPdRu
_cell_length_a 6.6226
_cell_length_b 6.6226
_cell_length_c 6.6226
_cell_angle_alpha 90.00
_cell_angle_beta 90.00
_cell_angle_gamma 90.00
_symmetry_space_group_name_H-M 'F -4 3 m'
_symmetry_Int_Tables_number 216
_symmetry_space_group_name_Hall 'F -4 2 3'
loop_
_atom_site_label
_atom_site_type_symbol
_atom_site_fract_x
_atom_site_fract_y
_atom_site_fract_z
Pu1 Pu 0.0000 0.0000 0.0000
Mg1 Mg 0.0000 0.0000 0.5000
Pd1 Pd 0.2500 0.2500 0.7500
Ru1 Ru 0.2500 0.2500 0.2500
```

Top 8 peaks for 10° ≤ 2θ ≤ 90°, low angle first:
d 3.824, intensity 46, hkl 1 1 1
d 2.341, intensity 100, hkl 2 2 0
d 1.997, intensity 25, hkl 3 1 1
d 1.656, intensity 17, hkl 4 0 0
d 1.519, intensity 11, hkl 3 3 1
d 1.352, intensity 35, hkl 4 2 2
d 1.171, intensity 11, hkl 4 4 0
d 1.119, intensity 9, hkl 5 3 1